Diffraction record for SnPO4F. The powder XRD pattern is simulated, not measured: it uses a cell relaxed with PBE and Cu Kα X-rays.
Kinematic intensities with the Lorentz-polarization factor, no thermal factor.

Cell and atoms:
a b c (Å): 7.860 6.446 7.378
angles (deg): 90.00 90.00 90.00
Space group Pnma (No. 62)
Unique sites:
Sn  0.128  0.250  0.245 [4 per cell]
P  0.128  0.750  0.125 [4 per cell]
O  0.038  0.250  0.987 [4 per cell]
O  0.131  0.562  0.255 [8 per cell]
O  0.211  0.250  0.505 [4 per cell]
F  0.120  0.750  0.653 [4 per cell]

Peak list (6 most intense, 5 to 70 degrees two-theta, by angle)
| index | two_theta | d_spacing | I/Imax |
| --- | --- | --- | --- |
| 0 1 1 | 18.28 | 4.854 | 83 |
| 0 0 2 | 24.13 | 3.689 | 37 |
| 2 0 1 | 25.68 | 3.469 | 100 |
| 0 2 0 | 27.68 | 3.223 | 54 |
| 2 2 1 | 38.11 | 2.361 | 29 |
| 0 3 3 | 56.95 | 1.617 | 36 |